1.
Structure and simulated X-ray powder pattern of BaLiNiGe (the GGA-PBE geometry in OQMD; CuKα).

Crystal structure
```
BaLiNiGe
1.0
4.302 0.000 0.000
0.000 5.989 0.000
0.000 0.000 6.814
Ba Li Ni Ge
2 2 2 2
Cartesian
0.000 0.724 0.000 Ba
2.151 5.265 3.407 Ba
0.000 3.589 5.673 Li
2.151 2.400 2.266 Li
0.000 3.489 1.404 Ni
2.151 2.500 4.811 Ni
0.000 2.256 3.560 Ge
2.151 3.733 0.152 Ge
```

Most intense lines, 5° ≤ 2θ ≤ 70°, low angle first:
2θ = 24.5°, intensity 32
2θ = 25.5°, intensity 41
2θ = 26.2°, intensity 39
2θ = 28.7°, intensity 100
2θ = 32.7°, intensity 100
2θ = 36.8°, intensity 78
2θ = 42.0°, intensity 35
2θ = 47.8°, intensity 50
2θ = 54.2°, intensity 46
2θ = 57.6°, intensity 32

2.
Structure and simulated X-ray powder pattern of ZnAu8 (the GGA-PBE geometry in OQMD; CuKα).

Crystal structure
```
ZnAu8
1.0
4.519 -2.047 0.000
4.519 2.047 0.000
-0.107 0.000 31.996
Zn Au
2 16
Cartesian
0.475 0.000 8.186 Zn
8.455 0.000 23.810 Zn
0.390 0.000 17.450 Au
1.234 0.000 20.385 Au
1.367 0.000 10.748 Au
2.234 0.000 13.599 Au
2.247 0.000 23.409 Au
3.111 0.000 16.490 Au
3.963 0.000 9.505 Au
3.985 0.000 19.395 Au
4.945 0.000 12.600 Au
4.968 0.000 22.491 Au
5.819 0.000 15.506 Au
6.683 0.000 8.587 Au
6.697 0.000 18.396 Au
7.564 0.000 21.248 Au
7.696 0.000 11.610 Au
8.540 0.000 14.546 Au
```

Most intense lines, 5° ≤ 2θ ≤ 70°, low angle first:
2θ = 8.3°, intensity 63
2θ = 34.9°, intensity 62
2θ = 37.0°, intensity 100
2θ = 38.0°, intensity 93
2θ = 38.8°, intensity 61
2θ = 39.3°, intensity 26
2θ = 41.7°, intensity 35
2θ = 43.6°, intensity 26
2θ = 44.3°, intensity 58
2θ = 44.8°, intensity 25

Number 1 is which compound? BaLiNiGe